Structure and calculated PXRD pattern of Li2MgH3 (a structure optimized by DFT (GGA-PBE); Cu Kα (weighted mean of Kα1 and Kα2)).
Kinematic intensities with the Lorentz-polarization factor, no thermal factor.

Main lines, sorted by position (15° ≤ 2θ ≤ 90°):
d (Å)	I_rel
4.634	100
3.925	54
3.087	29
2.870	27
2.496	57
2.382	39

Cell and atoms:
```
Li2MgH3
1.0
4.281 -2.870 0.000
4.281 2.870 0.000
-2.214 0.000 5.098
Li Mg H
4 2 6
Direct
0.075 0.236 0.059
0.236 0.075 0.559
0.764 0.925 0.441
0.925 0.764 0.941
0.437 0.563 0.750
0.563 0.437 0.250
0.101 0.899 0.750
0.262 0.403 0.911
0.403 0.262 0.411
0.597 0.738 0.589
0.738 0.597 0.089
0.899 0.101 0.250
```

Structure and calculated PXRD pattern of BC5 (a structure optimized by DFT (GGA-PBE); Cu Kα (weighted mean of Kα1 and Kα2)).
Kinematic intensities with the Lorentz-polarization factor, no thermal factor.

Main lines, sorted by position (15° ≤ 2θ ≤ 90°):
d (Å)	I_rel
2.099	100
1.887	4
1.299	24
1.260	13
1.201	3
1.130	6

Cell and atoms:
```
BC5
1.0
2.520 0.000 0.000
0.000 2.520 0.000
0.000 0.000 11.380
B C
2 10
Direct
0.000 0.500 0.091
0.500 0.000 0.909
0.000 0.000 0.187
0.000 0.000 0.500
0.000 0.000 0.813
0.000 0.500 0.421
0.000 0.500 0.738
0.500 0.000 0.262
0.500 0.000 0.579
0.500 0.500 0.000
0.500 0.500 0.343
0.500 0.500 0.657
```

Structure and calculated PXRD pattern of CdTc2PdO8 (a structure optimized by DFT (GGA-PBE); Cu Kα (weighted mean of Kα1 and Kα2)).
Kinematic intensities with the Lorentz-polarization factor, no thermal factor.

Main lines, sorted by position (15° ≤ 2θ ≤ 90°):
d (Å)	I_rel
3.522	90
2.932	100
2.491	18
1.898	60
1.613	16
1.466	17

Cell and atoms:
```
CdTc2PdO8
1.0
-3.522 3.522 3.628
3.522 -3.522 3.628
3.522 3.522 -3.628
Cd Tc Pd O
1 2 1 8
Direct
0.000 0.000 0.000
0.250 0.750 0.500
0.500 0.500 0.000
0.750 0.250 0.500
0.108 0.406 0.298
0.108 0.810 0.702
0.152 0.354 0.797
0.190 0.892 0.298
0.557 0.354 0.203
0.594 0.892 0.702
0.646 0.443 0.797
0.646 0.848 0.203
```